Calculated X-ray powder pattern of Pm4BiSb for Cu Kα (λ = 1.5418 Å), from a structure optimized by DFT (PBE).
Peak positions follow from Bragg's law for the DFT cell and can differ from measured ones.

Structure:
```
data_Pm4BiSb
_space_group_name_H-M_alt 'C m c 21'
_space_group_IT_number 36
_cell_length_a 4.2770
_cell_length_b 15.7294
_cell_length_c 11.6508
_cell_angle_alpha 90.00
_cell_angle_beta 90.00
_cell_angle_gamma 90.00
loop_
_space_group_symop_operation_xyz
'x,y,z'
'-x,-y,z+1/2'
'-x,y,z'
'x,-y,z+1/2'
'x+1/2,y+1/2,z'
'-x+1/2,-y+1/2,z+1/2'
'-x+1/2,y+1/2,z'
'x+1/2,-y+1/2,z+1/2'
loop_
_atom_site_label
_atom_site_fract_x
_atom_site_fract_y
_atom_site_fract_z
Pm1 0.0000 0.0471 0.0000
Pm2 0.0000 0.1522 0.2611
Pm3 0.0000 0.2472 0.5295
Pm4 0.0000 0.4520 0.2253
Bi1 0.0000 0.1924 0.8081
Sb1 0.0000 0.4055 0.9567
```

Principal peaks in the range 2θ from 10° to 90°, by angle:
27.99 deg, rel. 100, hkl 1 3 1
30.70 deg, rel. 41, hkl 0 0 4
31.05 deg, rel. 97, hkl 1 3 2
31.63 deg, rel. 31, hkl 1 1 3
35.61 deg, rel. 49, hkl 1 3 3
42.26 deg, rel. 38, hkl 2 0 0

---

Calculated X-ray powder pattern of PmScBiSb for Cu Kα (λ = 1.5418 Å), from a structure optimized by DFT (PBE).
Peak positions follow from Bragg's law for the DFT cell and can differ from measured ones.

Structure:
```
data_PmScBiSb
_space_group_name_H-M_alt 'R -3 m'
_space_group_IT_number 166
_space_group_name_Hall '-R 3 2"'
_cell_length_a 5.2548
_cell_length_b 5.2548
_cell_length_c 34.0276
_cell_angle_alpha 90.00
_cell_angle_beta 90.00
_cell_angle_gamma 120.00
loop_
_atom_site_label
_atom_site_fract_x
_atom_site_fract_y
_atom_site_fract_z
Pm1 0.0000 0.0000 0.1151
Sc1 0.0000 0.0000 0.2917
Bi1 0.0000 0.0000 0.3804
Sb1 0.0000 0.0000 0.2062
```

Principal peaks in the range 2θ from 10° to 90°, by angle:
22.15 deg, rel. 79, hkl 1 0 4
28.73 deg, rel. 32, hkl 0 1 8
31.55 deg, rel. 33, hkl 0 0 12
32.87 deg, rel. 38, hkl 1 0 10
34.13 deg, rel. 100, hkl 1 1 0
47.16 deg, rel. 70, hkl 1 1 12

---

Calculated X-ray powder pattern of PmScTlBi for Cu Kα (λ = 1.5418 Å), from a structure optimized by DFT (PBE).
Peak positions follow from Bragg's law for the DFT cell and can differ from measured ones.

Structure:
```
data_PmScTlBi
_space_group_name_H-M_alt 'F -4 3 m'
_space_group_IT_number 216
_space_group_name_Hall 'F -4 2 3'
_cell_length_a 7.6155
_cell_length_b 7.6155
_cell_length_c 7.6155
_cell_angle_alpha 90.00
_cell_angle_beta 90.00
_cell_angle_gamma 90.00
loop_
_atom_site_label
_atom_site_fract_x
_atom_site_fract_y
_atom_site_fract_z
Pm1 0.0000 0.0000 0.0000
Sc1 0.0000 0.0000 0.5000
Tl1 0.2500 0.2500 0.2500
Bi1 0.2500 0.2500 0.7500
```

Principal peaks in the range 2θ from 10° to 90°, by angle:
23.36 deg, rel. 15, hkl 2 0 0
33.28 deg, rel. 100, hkl 2 2 0
47.77 deg, rel. 18, hkl 4 0 0
59.46 deg, rel. 38, hkl 4 2 2
69.87 deg, rel. 12, hkl 4 4 0
79.62 deg, rel. 17, hkl 6 2 0

---

Calculated X-ray powder pattern of PmY2ScBi4 for Cu Kα (λ = 1.5418 Å), from a structure optimized by DFT (PBE).
Peak positions follow from Bragg's law for the DFT cell and can differ from measured ones.

Structure:
```
data_PmY2ScBi4
_space_group_name_H-M_alt 'P 1 2/m 1'
_space_group_IT_number 10
_cell_length_a 7.7182
_cell_length_b 4.4622
_cell_length_c 7.7277
_cell_angle_alpha 90.00
_cell_angle_beta 109.49
_cell_angle_gamma 90.00
loop_
_space_group_symop_operation_xyz
'x,y,z'
'-x,-y,-z'
'-x,y,-z'
'x,-y,z'
loop_
_atom_site_label
_atom_site_fract_x
_atom_site_fract_y
_atom_site_fract_z
Pm1 0.0000 0.0000 0.0000
Y1 0.0000 0.5000 0.5000
Y2 0.5000 0.0000 0.5000
Sc1 0.5000 0.5000 0.0000
Bi1 0.2592 0.5000 0.2492
Bi2 0.2620 0.0000 0.7577
```

Principal peaks in the range 2θ from 10° to 90°, by angle:
24.44 deg, rel. 26, hkl 1 1 -1
28.30 deg, rel. 100, hkl 1 1 1
40.45 deg, rel. 77, hkl 0 2 0
50.10 deg, rel. 28, hkl 2 2 -2
66.27 deg, rel. 36, hkl 1 3 1
73.55 deg, rel. 20, hkl 1 3 -3

---

Calculated X-ray powder pattern of Pm7BiSe5 for Cu Kα (λ = 1.5418 Å), from a structure optimized by DFT (PBE).
Peak positions follow from Bragg's law for the DFT cell and can differ from measured ones.

Structure:
```
data_Pm7BiSe5
_space_group_name_H-M_alt 'C m c m'
_space_group_IT_number 63
_space_group_name_Hall '-C 2c 2'
_cell_length_a 4.2211
_cell_length_b 13.7327
_cell_length_c 25.0988
_cell_angle_alpha 90.00
_cell_angle_beta 90.00
_cell_angle_gamma 90.00
loop_
_atom_site_label
_atom_site_fract_x
_atom_site_fract_y
_atom_site_fract_z
Pm1 0.0000 0.0180 0.2500
Pm2 0.0000 0.1377 0.5373
Pm3 0.0000 0.3158 0.1755
Pm4 0.0000 0.4081 0.6140
Bi1 0.0000 0.3077 0.7500
Se1 0.0000 0.0491 0.6416
Se2 0.0000 0.2236 0.0705
Se3 0.0000 0.5000 0.0000
```

Principal peaks in the range 2θ from 10° to 90°, by angle:
28.08 deg, rel. 68, hkl 0 2 7
29.66 deg, rel. 100, hkl 1 3 2
30.73 deg, rel. 55, hkl 1 3 3
39.28 deg, rel. 31, hkl 1 1 9
42.85 deg, rel. 33, hkl 2 0 0
43.24 deg, rel. 27, hkl 1 5 5

---

Calculated X-ray powder pattern of Pm4SnBiSe2 for Cu Kα (λ = 1.5418 Å), from a structure optimized by DFT (PBE).
Peak positions follow from Bragg's law for the DFT cell and can differ from measured ones.

Structure:
```
data_Pm4SnBiSe2
_space_group_name_H-M_alt 'P 1 2/m 1'
_space_group_IT_number 10
_cell_length_a 7.5588
_cell_length_b 4.3897
_cell_length_c 7.6078
_cell_angle_alpha 90.00
_cell_angle_beta 109.53
_cell_angle_gamma 90.00
loop_
_space_group_symop_operation_xyz
'x,y,z'
'-x,-y,-z'
'-x,y,-z'
'x,-y,z'
loop_
_atom_site_label
_atom_site_fract_x
_atom_site_fract_y
_atom_site_fract_z
Pm1 0.2382 0.0000 0.2406
Pm2 0.2407 0.5000 0.7514
Sn1 0.5000 0.0000 0.0000
Bi1 0.5000 0.5000 0.5000
Se1 0.0000 0.0000 0.5000
Se2 0.0000 0.5000 0.0000
```

Principal peaks in the range 2θ from 10° to 90°, by angle:
28.82 deg, rel. 100, hkl 1 1 1
41.11 deg, rel. 39, hkl 0 2 0
41.30 deg, rel. 38, hkl 3 1 -1
50.98 deg, rel. 21, hkl 2 2 -2
67.48 deg, rel. 18, hkl 1 3 1
67.75 deg, rel. 17, hkl 4 2 0

---

Calculated X-ray powder pattern of PmTh2Bi2Se2 for Cu Kα (λ = 1.5418 Å), from a structure optimized by DFT (PBE).
Peak positions follow from Bragg's law for the DFT cell and can differ from measured ones.

Structure:
```
data_PmTh2Bi2Se2
_space_group_name_H-M_alt 'I 4/m m m'
_space_group_IT_number 139
_space_group_name_Hall '-I 4 2'
_cell_length_a 5.3419
_cell_length_b 5.3419
_cell_length_c 16.2495
_cell_angle_alpha 90.00
_cell_angle_beta 90.00
_cell_angle_gamma 90.00
loop_
_atom_site_label
_atom_site_fract_x
_atom_site_fract_y
_atom_site_fract_z
Pm1 0.0000 0.0000 0.0000
Th1 0.0000 0.0000 0.3869
Bi1 0.0000 0.0000 0.1913
Se1 0.0000 0.5000 0.0000
```

Principal peaks in the range 2θ from 10° to 90°, by angle:
23.55 deg, rel. 85, hkl 1 1 0
32.24 deg, rel. 100, hkl 1 0 5
33.55 deg, rel. 67, hkl 2 0 0
47.22 deg, rel. 71, hkl 2 1 5
48.18 deg, rel. 25, hkl 2 2 0
59.18 deg, rel. 25, hkl 3 0 5

---

Calculated X-ray powder pattern of Pm4SiBi2 for Cu Kα (λ = 1.5418 Å), from a structure optimized by DFT (PBE).
Peak positions follow from Bragg's law for the DFT cell and can differ from measured ones.

Structure:
```
data_Pm4SiBi2
_space_group_name_H-M_alt 'P 1 21/m 1'
_space_group_IT_number 11
_cell_length_a 6.9627
_cell_length_b 6.5982
_cell_length_c 10.0396
_cell_angle_alpha 90.00
_cell_angle_beta 109.56
_cell_angle_gamma 90.00
loop_
_space_group_symop_operation_xyz
'x,y,z'
'-x,-y,-z'
'-x,y+1/2,-z'
'x,-y+1/2,z'
loop_
_atom_site_label
_atom_site_fract_x
_atom_site_fract_y
_atom_site_fract_z
Pm1 0.0126 0.0008 0.2588
Pm2 0.3992 0.7500 0.0661
Pm3 0.4496 0.7500 0.6397
Si1 0.3628 0.7500 0.3396
Bi1 0.2026 0.2500 0.0417
Bi2 0.2168 0.2500 0.5589
```

Principal peaks in the range 2θ from 10° to 90°, by angle:
27.41 deg, rel. 67, hkl 2 0 -2
29.97 deg, rel. 82, hkl 1 1 2
30.64 deg, rel. 92, hkl 2 1 -2
33.11 deg, rel. 100, hkl 0 2 2
33.31 deg, rel. 90, hkl 1 2 -2
35.79 deg, rel. 76, hkl 1 0 -4